LiN3F12: computed powder XRD pattern (λ = 1.5418 Å (Cu Kα)), based on a cell relaxed with GGA-PBE.
Kinematic intensities with the Lorentz-polarization factor, no thermal factor.

Structural model:
a = 10.340 Å, b = 10.340 Å, c = 10.340 Å
α = 46.48°, β = 46.48°, γ = 46.48°
Sites, in units of the cell vectors:
Li: 0.000 0.000 0.000
Li: 0.500 0.500 0.500
N: 0.121 0.431 0.732
N: 0.232 0.931 0.621
N: 0.431 0.732 0.121
N: 0.621 0.232 0.931
N: 0.732 0.121 0.431
N: 0.931 0.621 0.232
F: 0.007 0.365 0.930
F: 0.085 0.483 0.150
F: 0.150 0.085 0.483
F: 0.185 0.785 0.700
F: 0.200 0.285 0.685
F: 0.249 0.851 0.876
F: 0.285 0.685 0.200
F: 0.351 0.749 0.376
F: 0.365 0.930 0.007
F: 0.376 0.351 0.749
F: 0.430 0.865 0.507
F: 0.483 0.150 0.085
F: 0.507 0.430 0.865
F: 0.585 0.650 0.983
F: 0.650 0.983 0.585
F: 0.685 0.200 0.285
F: 0.700 0.185 0.785
F: 0.749 0.376 0.351
F: 0.785 0.700 0.185
F: 0.851 0.876 0.249
F: 0.865 0.507 0.430
F: 0.876 0.249 0.851
F: 0.930 0.007 0.365
F: 0.983 0.585 0.650

The 6 most intense peaks (2θ = 10–90°), by intensity:
- 2θ 23.85, rel. 1000
- 2θ 19.29, rel. 543
- 2θ 38.20, rel. 455
- 2θ 21.78, rel. 414
- 2θ 36.39, rel. 398
- 2θ 28.78, rel. 289

---

CsTl2As2O7: computed powder XRD pattern (λ = 1.5418 Å (Cu Kα)), based on a cell relaxed with GGA-PBE.
Kinematic intensities with the Lorentz-polarization factor, no thermal factor.

Structural model:
a = 9.323 Å, b = 9.323 Å, c = 9.323 Å
α = 37.28°, β = 37.28°, γ = 37.28°
Sites, in units of the cell vectors:
Cs: 0.000 0.000 0.000
Tl: 0.202 0.202 0.202
Tl: 0.798 0.798 0.798
As: 0.431 0.431 0.431
As: 0.569 0.569 0.569
O: 0.117 0.461 0.662
O: 0.338 0.539 0.883
O: 0.461 0.662 0.117
O: 0.500 0.500 0.500
O: 0.539 0.883 0.338
O: 0.662 0.117 0.461
O: 0.883 0.338 0.539

The 6 most intense peaks (2θ = 10–90°), by intensity:
- 2θ 24.30, rel. 1000
- 2θ 29.99, rel. 665
- 2θ 10.21, rel. 332
- 2θ 49.94, rel. 261
- 2θ 38.97, rel. 230
- 2θ 21.99, rel. 219

---

Co5Pb: computed powder XRD pattern (λ = 1.5418 Å (Cu Kα)), based on a cell relaxed with GGA-PBE.
Kinematic intensities with the Lorentz-polarization factor, no thermal factor.

Structural model:
a = 4.439 Å, b = 4.439 Å, c = 5.577 Å
α = 106.10°, β = 106.10°, γ = 48.57°
Sites, in units of the cell vectors:
Co: 0.000 0.000 0.000
Co: 0.322 0.322 0.132
Co: 0.343 0.343 0.714
Co: 0.657 0.657 0.286
Co: 0.678 0.678 0.868
Pb: 0.000 0.000 0.500

The 6 most intense peaks (2θ = 10–90°), by intensity:
- 2θ 40.74, rel. 1000
- 2θ 43.05, rel. 923
- 2θ 47.09, rel. 327
- 2θ 29.96, rel. 313
- 2θ 49.25, rel. 303
- 2θ 49.96, rel. 300

---

La8Pm3Tm: computed powder XRD pattern (λ = 1.5418 Å (Cu Kα)), based on a cell relaxed with GGA-PBE.
Kinematic intensities with the Lorentz-polarization factor, no thermal factor.

Structural model:
a = 6.471 Å, b = 8.794 Å, c = 8.814 Å
α = 79.14°, β = 68.50°, γ = 68.59°
Sites, in units of the cell vectors:
La: 0.000 0.000 0.000
La: 0.000 0.332 0.670
La: 0.090 0.247 0.248
La: 0.091 0.574 0.922
La: 0.504 0.833 0.169
La: 0.505 0.499 0.502
La: 0.586 0.078 0.427
La: 0.586 0.752 0.753
Pm: 0.007 0.666 0.335
Pm: 0.077 0.914 0.589
Pm: 0.580 0.411 0.087
Tm: 0.504 0.166 0.835

The 6 most intense peaks (2θ = 10–90°), by intensity:
- 2θ 31.43, rel. 1000
- 2θ 29.91, rel. 253
- 2θ 27.56, rel. 235
- 2θ 48.73, rel. 195
- 2θ 58.20, rel. 153
- 2θ 54.03, rel. 145

---

Pm2NiHPt: computed powder XRD pattern (λ = 1.5418 Å (Cu Kα)), based on a cell relaxed with GGA-PBE.
Kinematic intensities with the Lorentz-polarization factor, no thermal factor.

Structural model:
a = 5.752 Å, b = 4.447 Å, c = 7.874 Å
α = 90.00°, β = 111.35°, γ = 90.00°
Sites, in units of the cell vectors:
Pm: 0.218 0.250 0.428
Pm: 0.222 0.250 0.933
Pm: 0.778 0.750 0.067
Pm: 0.782 0.750 0.572
Ni: 0.345 0.750 0.211
Ni: 0.655 0.250 0.789
H: 0.140 0.750 0.002
H: 0.860 0.250 0.998
Pt: 0.358 0.750 0.703
Pt: 0.642 0.250 0.297

The 6 most intense peaks (2θ = 10–90°), by intensity:
- 2θ 39.28, rel. 1000
- 2θ 31.63, rel. 871
- 2θ 31.34, rel. 666
- 2θ 33.47, rel. 644
- 2θ 40.01, rel. 600
- 2θ 40.57, rel. 508

---

La3Pm3Nd8: computed powder XRD pattern (λ = 1.5418 Å (Cu Kα)), based on a cell relaxed with GGA-PBE.
Kinematic intensities with the Lorentz-polarization factor, no thermal factor.

Structural model:
a = 10.017 Å, b = 10.017 Å, c = 10.017 Å
α = 146.24°, β = 113.34°, γ = 76.84°
Sites, in units of the cell vectors:
La: 0.000 0.000 0.000
La: 0.307 0.000 0.307
La: 0.693 0.000 0.693
Pm: 0.315 0.815 0.500
Pm: 0.500 0.500 0.000
Pm: 0.685 0.185 0.500
Nd: 0.060 0.397 0.663
Nd: 0.063 0.223 0.840
Nd: 0.266 0.603 0.663
Nd: 0.382 0.223 0.160
Nd: 0.618 0.777 0.840
Nd: 0.734 0.397 0.337
Nd: 0.937 0.777 0.160
Nd: 0.940 0.603 0.337

The 6 most intense peaks (2θ = 10–90°), by intensity:
- 2θ 30.99, rel. 1000
- 2θ 32.41, rel. 524
- 2θ 30.74, rel. 509
- 2θ 28.61, rel. 299
- 2θ 29.74, rel. 278
- 2θ 54.81, rel. 200

---

LiDyY6: computed powder XRD pattern (λ = 1.5418 Å (Cu Kα)), based on a cell relaxed with GGA-PBE.
Kinematic intensities with the Lorentz-polarization factor, no thermal factor.

Structural model:
a = 6.307 Å, b = 6.308 Å, c = 6.309 Å
α = 96.21°, β = 96.10°, γ = 96.17°
Sites, in units of the cell vectors:
Li: 0.000 0.000 0.000
Dy: 0.500 0.500 0.500
Y: 0.049 0.569 0.763
Y: 0.237 0.951 0.431
Y: 0.431 0.237 0.951
Y: 0.569 0.763 0.049
Y: 0.763 0.049 0.569
Y: 0.951 0.431 0.237

The 6 most intense peaks (2θ = 10–90°), by intensity:
- 2θ 30.52, rel. 1000
- 2θ 34.57, rel. 651
- 2θ 27.64, rel. 316
- 2θ 14.22, rel. 248
- 2θ 51.51, rel. 199
- 2θ 33.70, rel. 185

---

V2Mo5: computed powder XRD pattern (λ = 1.5418 Å (Cu Kα)), based on a cell relaxed with GGA-PBE.
Kinematic intensities with the Lorentz-polarization factor, no thermal factor.

Structural model:
a = 7.350 Å, b = 7.350 Å, c = 5.916 Å
α = 90.72°, β = 90.72°, γ = 42.54°
Sites, in units of the cell vectors:
V: 0.055 0.807 0.891
V: 0.193 0.945 0.609
V: 0.807 0.055 0.391
V: 0.945 0.193 0.109
Mo: 0.091 0.331 0.826
Mo: 0.231 0.485 0.540
Mo: 0.331 0.091 0.326
Mo: 0.366 0.634 0.250
Mo: 0.485 0.231 0.040
Mo: 0.515 0.769 0.960
Mo: 0.634 0.366 0.750
Mo: 0.669 0.909 0.674
Mo: 0.769 0.515 0.460
Mo: 0.909 0.669 0.174

The 6 most intense peaks (2θ = 10–90°), by intensity:
- 2θ 39.40, rel. 1000
- 2θ 39.85, rel. 948
- 2θ 49.64, rel. 486
- 2θ 40.57, rel. 452
- 2θ 64.32, rel. 216
- 2θ 65.97, rel. 200